Calculated X-ray diffraction stick pattern
Compound: DyAgSeS
Radiation: Cu Kα
Structure: a DFT-relaxed cell (GGA-PBE, OQMD)
Peak positions follow from Bragg's law for the DFT cell and can differ from measured ones.

Largest 10 diffraction maxima, sorted by position, 10° ≤ 2θ ≤ 90°:
h k l, 2θ/deg, I (rel.)
1 1 1, 25.04, 93
2 2 0, 26.78, 84
2 0 1, 28.79, 55
2 2 1, 34.35, 89
1 3 1, 36.44, 100
0 4 0, 37.16, 64
3 1 1, 37.53, 55
4 0 0, 39.29, 63
3 3 1, 46.25, 70
2 0 2, 47.55, 46

Structural model:
Unit cell a=9.1734 b=9.6784 c=4.2074 alpha=90.00 beta=90.00 gamma=90.00
Space group Cmm2 (No. 35)
One atom of each set of equivalent atoms:
Dy (0.0000, 0.0000, 0.0000) (multiplicity 2)
Dy (0.0000, 0.5000, 0.4216) (multiplicity 2)
Ag (0.2500, 0.2500, 0.1707) (multiplicity 4)
Se (0.0000, 0.2037, 0.4916) (multiplicity 4)
S (0.1997, 0.5000, 0.9350) (multiplicity 4)